Diffraction record for BeRe4Os2. The powder X-ray diffraction pattern is calculated, not measured: it uses a crystal structure in Alexandria, relaxed with PBE and Cu Kα (λ = 1.5418 Å).
Lines closer than 0.1° are merged.

Cell lengths 4.0965, 4.0965, 12.6733 Å; angles 90.00, 90.00, 90.00 degrees
Space group I4/mmm (No. 139)
Symmetry-distinct sites (fractional):
Be1 0.0000 0.0000 0.0000
Re1 0.0000 0.0000 0.1702
Re2 0.0000 0.5000 0.0000
Os1 0.0000 0.0000 0.3604

Most intense lines, 10 to 90 degrees two-theta, in order of falling intensity:
two_theta	d/Å	I_rel
42.27	2.138	100
34.03	2.634	95
44.22	2.048	73
63.24	1.470	36
80.02	1.199	32
42.81	2.112	28
64.32	1.448	24
30.87	2.897	22
74.81	1.269	20
80.39	1.195	18

Diffraction record for Pr2TmC2I2. The powder X-ray diffraction pattern is calculated, not measured: it uses a crystal structure in Alexandria, relaxed with PBE and Cu Kα (λ = 1.5418 Å).
Lines closer than 0.1° are merged.

Cell lengths 4.4936, 4.4936, 19.9268 Å; angles 90.00, 90.00, 90.00 degrees
Space group I4/mmm (No. 139)
Symmetry-distinct sites (fractional):
Pr1 0.0000 0.0000 0.0802
Tm1 0.0000 0.0000 0.5000
C1 0.0000 0.5000 0.0000
I1 0.0000 0.0000 0.3371

Most intense lines, 10 to 90 degrees two-theta, in order of falling intensity:
two_theta	d/Å	I_rel
28.08	3.177	100
29.97	2.982	90
37.40	2.405	71
56.01	1.642	44
40.13	2.247	43
50.89	1.794	41
63.18	1.472	19
65.71	1.421	18
70.52	1.335	15
58.06	1.589	14

Diffraction record for LaNd2Tl2Cd2. The powder X-ray diffraction pattern is calculated, not measured: it uses a crystal structure in Alexandria, relaxed with PBE and Cu Kα (λ = 1.5418 Å).
Lines closer than 0.1° are merged.

Cell lengths 5.0717, 5.0717, 27.5600 Å; angles 90.00, 90.00, 120.00 degrees
Space group R-3m (No. 166, hexagonal axes)
Symmetry-distinct sites (fractional):
La1 0.0000 0.0000 0.0000
Nd1 0.0000 0.0000 0.1332
Tl1 0.0000 0.0000 0.2686
Cd1 0.0000 0.0000 0.4227

Most intense lines, 10 to 90 degrees two-theta, in order of falling intensity:
two_theta	d/Å	I_rel
30.49	2.932	100
35.40	2.536	90
47.40	1.918	29
60.53	1.530	28
33.05	2.711	21
63.53	1.464	21
74.86	1.268	15
62.42	1.488	15
82.97	1.164	12
19.32	4.593	11

Diffraction record for Dy2Be2Ge3. The powder X-ray diffraction pattern is calculated, not measured: it uses a crystal structure in Alexandria, relaxed with PBE and Cu Kα (λ = 1.5418 Å).
Lines closer than 0.1° are merged.

Cell lengths 3.9048, 18.6479, 6.8595 Å; angles 90.00, 90.00, 90.00 degrees
Space group Cmcm (No. 63)
Symmetry-distinct sites (fractional):
Dy1 0.0000 0.0466 0.2500
Dy2 0.0000 0.1712 0.7500
Be1 0.0000 0.3355 0.5968
Ge1 0.0000 0.2079 0.2500
Ge2 0.0000 0.4357 0.0705

Most intense lines, 10 to 90 degrees two-theta, in order of falling intensity:
two_theta	d/Å	I_rel
35.77	2.510	100
35.16	2.553	89
25.98	3.430	37
44.11	2.053	30
33.22	2.697	28
23.07	3.856	28
46.51	1.952	27
38.63	2.331	26
30.00	2.979	24
57.03	1.615	21

Diffraction record for PrAg2. The powder X-ray diffraction pattern is calculated, not measured: it uses a crystal structure in Alexandria, relaxed with PBE and Cu Kα (λ = 1.5418 Å).
Lines closer than 0.1° are merged.

Cell lengths 4.8569, 7.1683, 8.3057 Å; angles 90.00, 90.00, 90.00 degrees
Space group Imma (No. 74)
Symmetry-distinct sites (fractional):
Pr1 0.0000 0.2500 0.0340
Ag1 0.0000 0.0386 0.6656

Most intense lines, 10 to 90 degrees two-theta, in order of falling intensity:
two_theta	d/Å	I_rel
32.88	2.724	100
37.39	2.405	70
33.01	2.713	44
37.02	2.428	42
50.43	1.809	28
30.96	2.889	23
64.12	1.452	16
62.24	1.492	15
39.23	2.296	14
64.89	1.437	14

Diffraction record for RbNaF2. The powder X-ray diffraction pattern is calculated, not measured: it uses a crystal structure in Alexandria, relaxed with PBE and Cu Kα (λ = 1.5418 Å).
Lines closer than 0.1° are merged.

Cell lengths 4.2351, 4.2351, 8.4995 Å; angles 90.00, 90.00, 90.00 degrees
Space group P4/nmm (No. 129, origin choice 2)
Symmetry-distinct sites (fractional):
Rb1 0.2500 0.2500 0.1712
Na1 0.2500 0.2500 0.5868
F1 0.2500 0.2500 0.8485
F2 0.2500 0.7500 0.5000

Most intense lines, 10 to 90 degrees two-theta, in order of falling intensity:
two_theta	d/Å	I_rel
29.81	2.997	100
31.62	2.830	47
42.70	2.118	34
23.47	3.791	33
52.89	1.731	30
54.07	1.696	22
44.00	2.058	20
36.71	2.448	19
70.28	1.339	12
71.24	1.324	12